[1]
For RbNaMgBr4, a cell relaxed with PBE gives the computed X-ray powder pattern in this record (Cu Kα, 1.54184 Å).
Peak positions follow from Bragg's law for the DFT cell and can differ from measured ones.

Structure:
Cell lengths 7.3806, 7.6718, 9.2705 Å; angles 90.00, 106.81, 90.00 degrees
Space group P2_1/m (No. 11)
Inequivalent atoms, fractional coordinates:
Rb: 0.2428 0.2500 0.0546 [2 per cell]
Na: 0.2142 0.2500 0.5549 [2 per cell]
Mg: 0.2435 0.7500 0.3301 [2 per cell]
Br: 0.0082 0.5023 0.2823 [4 per cell]
Br: 0.4323 0.7500 0.1458 [2 per cell]
Br: 0.4715 0.7500 0.5861 [2 per cell]

The 8 most intense peaks (2θ from 5° to 70°), in order of falling intensity:
| (hkl) | Position (°2θ) | I (rel.) |
| --- | --- | --- |
| 1 2 0 | 26.4 | 100 |
| 1 1 2 | 29.1 | 69 |
| 2 1 -2 | 29.8 | 42 |
| 0 2 2 | 30.8 | 40 |
| 1 2 -2 | 31.0 | 38 |
| 2 0 -2 | 27.3 | 37 |
| 1 0 2 | 26.6 | 33 |
| 0 4 0 | 47.4 | 32 |

***

[2]
For NaTmMg2Br8, a cell relaxed with PBE gives the computed X-ray powder pattern in this record (Cu Kα, 1.54184 Å).
Peak positions follow from Bragg's law for the DFT cell and can differ from measured ones.

Structure:
Cell lengths 6.4791, 8.2133, 6.7097 Å; angles 90.00, 90.18, 90.00 degrees
Space group P2/m (No. 10)
Inequivalent atoms, fractional coordinates:
Na: 0.0000 0.0000 0.0000 [1 per cell]
Tm: 0.0000 0.5000 0.0000 [1 per cell]
Mg: 0.5000 0.2381 0.5000 [2 per cell]
Br: 0.2321 0.2626 0.1829 [4 per cell]
Br: 0.2817 0.5000 0.6721 [2 per cell]
Br: 0.2879 0.0000 0.6635 [2 per cell]

The 8 most intense peaks (2θ from 5° to 70°), in order of falling intensity:
| (hkl) | Position (°2θ) | I (rel.) |
| --- | --- | --- |
| 1 2 1 | 29.0 | 100 |
| 1 0 -2 | 30.0 | 38 |
| 2 2 -1 | 37.8 | 37 |
| 1 0 -1 | 19.0 | 35 |
| 0 2 3 | 46.2 | 30 |
| 0 1 0 | 10.8 | 18 |
| 0 4 0 | 44.1 | 18 |
| 3 2 -1 | 49.6 | 17 |

***

[3]
For NdMgBr, a cell relaxed with PBE gives the computed X-ray powder pattern in this record (Cu Kα, 1.54184 Å).
Peak positions follow from Bragg's law for the DFT cell and can differ from measured ones.

Structure:
Cell lengths 3.6614, 3.6744, 13.6237 Å; angles 90.03, 90.08, 90.01 degrees
Space group P1 (No. 1)
Inequivalent atoms, fractional coordinates:
Nd: 0.0000 0.0000 0.0000 [1 per cell]
Nd: 0.4977 0.4991 0.5284 [1 per cell]
Mg: 0.9999 0.0013 0.7004 [1 per cell]
Mg: 0.5009 0.5018 0.8281 [1 per cell]
Br: 0.5003 0.4999 0.1270 [1 per cell]
Br: 0.9969 0.9985 0.4014 [1 per cell]

The 8 most intense peaks (2θ from 5° to 70°), in order of falling intensity:
| (hkl) | Position (°2θ) | I (rel.) |
| --- | --- | --- |
| 1 0 3 | 31.3 | 100 |
| 0 0 2 | 13.0 | 87 |
| 1 1 0 | 34.6 | 57 |
| 1 0 5 | 41.3 | 37 |
| 1 1 -2 | 37.1 | 28 |
| 1 0 -2 | 27.6 | 25 |
| 1 0 1 | 25.1 | 20 |
| 1 0 -4 | 36.0 | 16 |

***

[4]
For MgNiRu2Br, a cell relaxed with PBE gives the computed X-ray powder pattern in this record (Cu Kα, 1.54184 Å).
Peak positions follow from Bragg's law for the DFT cell and can differ from measured ones.

Structure:
Cell lengths 4.6477, 4.6477, 4.6774 Å; angles 90.00, 90.00, 90.00 degrees
Space group P4/mmm (No. 123)
Inequivalent atoms, fractional coordinates:
Mg: 0.0000 0.0000 0.0000 [1 per cell]
Ni: 0.5000 0.5000 0.5000 [1 per cell]
Ru: 0.0000 0.5000 0.5000 [2 per cell]
Br: 0.5000 0.5000 0.0000 [1 per cell]

The 8 most intense peaks (2θ from 5° to 70°), in order of falling intensity:
| (hkl) | Position (°2θ) | I (rel.) |
| --- | --- | --- |
| 1 1 1 | 33.3 | 100 |
| 2 0 0 | 38.7 | 76 |
| 2 0 2 | 55.8 | 51 |
| 1 0 0 | 19.1 | 49 |
| 0 0 1 | 19.0 | 45 |
| 0 0 2 | 38.5 | 39 |
| 2 0 1 | 43.5 | 32 |
| 3 1 1 | 66.7 | 26 |

***

[5]
For MgBr2O5, a cell relaxed with PBE gives the computed X-ray powder pattern in this record (Cu Kα, 1.54184 Å).
Peak positions follow from Bragg's law for the DFT cell and can differ from measured ones.

Structure:
Cell lengths 8.4519, 9.6731, 6.1668 Å; angles 90.00, 90.00, 90.00 degrees
Space group Pbcn (No. 60)
Inequivalent atoms, fractional coordinates:
Mg: 0.0000 0.0742 0.2500 [4 per cell]
Br: 0.1792 0.3734 0.0630 [8 per cell]
O: 0.0000 0.4320 0.2500 [4 per cell]
O: 0.1169 0.0784 0.5546 [8 per cell]
O: 0.1881 0.2037 0.1387 [8 per cell]

The 8 most intense peaks (2θ from 5° to 70°), in order of falling intensity:
| (hkl) | Position (°2θ) | I (rel.) |
| --- | --- | --- |
| 1 2 1 | 25.7 | 100 |
| 1 0 2 | 30.9 | 34 |
| 2 1 1 | 27.2 | 29 |
| 1 1 1 | 20.0 | 18 |
| 0 4 0 | 37.2 | 16 |
| 4 1 1 | 46.4 | 16 |
| 3 1 0 | 33.1 | 16 |
| 2 0 0 | 21.0 | 13 |

***

[6]
For MgTa2Te4Br10O, a cell relaxed with PBE gives the computed X-ray powder pattern in this record (Cu Kα, 1.54184 Å).
Peak positions follow from Bragg's law for the DFT cell and can differ from measured ones.

Structure:
Cell lengths 7.4089, 8.2301, 11.6885 Å; angles 87.35, 86.25, 73.37 degrees
Space group P1 (No. 1)
Inequivalent atoms, fractional coordinates:
Mg: 0.0000 0.0000 0.0000 [1 per cell]
Ta: 0.5983 0.6730 0.4001 [1 per cell]
Ta: 0.6413 0.8443 0.0911 [1 per cell]
Te: 0.0872 0.0580 0.6682 [1 per cell]
Te: 0.2010 0.4535 0.7957 [1 per cell]
Te: 0.3258 0.2554 0.6032 [1 per cell]
Te: 0.9184 0.2930 0.8415 [1 per cell]
Br: 0.0055 0.6886 0.0721 [1 per cell]
Br: 0.3005 0.9403 0.4259 [1 per cell]
Br: 0.3020 0.0511 0.0818 [1 per cell]
Br: 0.3777 0.5233 0.3310 [1 per cell]
Br: 0.5455 0.5719 0.6063 [1 per cell]
Br: 0.5517 0.6169 0.9958 [1 per cell]
Br: 0.7230 0.9647 0.8730 [1 per cell]
Br: 0.7380 0.1096 0.1585 [1 per cell]
Br: 0.7888 0.8528 0.4668 [1 per cell]
Br: 0.8792 0.4319 0.3593 [1 per cell]
O: 0.6178 0.7681 0.2393 [1 per cell]

The 8 most intense peaks (2θ from 5° to 70°), in order of falling intensity:
| (hkl) | Position (°2θ) | I (rel.) |
| --- | --- | --- |
| 1 0 1 | 14.3 | 100 |
| 0 1 -2 | 19.2 | 81 |
| 0 1 1 | 13.4 | 74 |
| 1 -1 0 | 19.1 | 43 |
| 1 1 -3 | 27.9 | 28 |
| -1 3 1 | 40.5 | 26 |
| 2 -1 0 | 30.4 | 26 |
| 0 1 -3 | 25.9 | 24 |